(1)
Starting from a cell relaxed with GGA-PBE, the powder X-ray diffraction pattern of PaAgO3 was calculated for Cu Kα X-rays.
Kinematic intensities with the Lorentz-polarization factor, no thermal factor.

Structural model:
Cell lengths 6.0592, 8.4892, 5.8834 Å; angles 90.00, 90.00, 90.00 degrees
Sites, in units of the cell vectors:
1 Pa 0.0000 0.0000 0.0000
2 Pa 0.0000 0.5000 0.0000
3 Pa 0.5000 0.0000 0.5000
4 Pa 0.5000 0.5000 0.5000
5 Ag 0.0012 0.2500 0.4961
6 Ag 0.4988 0.7500 0.9961
7 Ag 0.5012 0.2500 0.0039
8 Ag 0.9988 0.7500 0.5039
9 O 0.0296 0.2500 0.1029
10 O 0.2012 0.0543 0.6977
11 O 0.2012 0.4457 0.6977
12 O 0.2988 0.5543 0.1977
13 O 0.2988 0.9457 0.1977
14 O 0.4704 0.7500 0.6029
15 O 0.5296 0.2500 0.3971
16 O 0.7012 0.0543 0.8023
17 O 0.7012 0.4457 0.8023
18 O 0.7988 0.5543 0.3023
19 O 0.7988 0.9457 0.3023
20 O 0.9704 0.7500 0.8971

The 10 most intense peaks (10° ≤ 2θ ≤ 80°), in order of falling intensity:
d [Å], I_rel
2.993, 100
3.030, 26
2.110, 24
2.942, 23
1.708, 23
1.742, 22
4.221, 17
1.496, 14
2.122, 12
1.738, 12

---

(2)
Starting from a cell relaxed with GGA-PBE, the powder X-ray diffraction pattern of Al2Ni11 was calculated for Cu Kα X-rays.
Kinematic intensities with the Lorentz-polarization factor, no thermal factor.

Structural model:
Cell lengths 8.4391, 8.4391, 8.4391 Å; angles 31.96, 31.96, 31.96 degrees
Sites, in units of the cell vectors:
1 Al 0.1482 0.1482 0.1482
2 Al 0.8518 0.8518 0.8518
3 Ni 0.0478 0.0478 0.0478
4 Ni 0.0835 0.5893 0.5893
5 Ni 0.3336 0.3336 0.3336
6 Ni 0.4107 0.4107 0.9165
7 Ni 0.4107 0.9165 0.4107
8 Ni 0.5000 0.5000 0.5000
9 Ni 0.5893 0.0835 0.5893
10 Ni 0.5893 0.5893 0.0835
11 Ni 0.6664 0.6664 0.6664
12 Ni 0.9165 0.4107 0.4107
13 Ni 0.9522 0.9522 0.9522

The 10 most intense peaks (10° ≤ 2θ ≤ 80°), in order of falling intensity:
d [Å], I_rel
2.008, 100
1.856, 51
1.918, 43
1.735, 34
2.323, 28
2.061, 24
4.001, 21
1.984, 20
2.000, 20
1.248, 19

---

(3)
Starting from a cell relaxed with GGA-PBE, the powder X-ray diffraction pattern of Tb3In3PdAu2 was calculated for Cu Kα X-rays.
Kinematic intensities with the Lorentz-polarization factor, no thermal factor.

Structural model:
Cell lengths 7.7780, 7.7780, 3.9286 Å; angles 90.00, 90.00, 120.00 degrees
Sites, in units of the cell vectors:
1 Tb 0.0000 0.5935 0.0000
2 Tb 0.4065 0.4065 0.0000
3 Tb 0.5935 0.0000 0.0000
4 In 0.0000 0.2541 0.5000
5 In 0.2541 0.0000 0.5000
6 In 0.7459 0.7459 0.5000
7 Pd 0.0000 0.0000 0.0000
8 Au 0.3333 0.6667 0.5000
9 Au 0.6667 0.3333 0.5000

The 10 most intense peaks (10° ≤ 2θ ≤ 80°), in order of falling intensity:
d [Å], I_rel
2.764, 100
2.557, 89
2.245, 46
2.546, 45
1.438, 31
2.137, 31
1.478, 24
1.964, 24
1.555, 20
1.274, 15

---

(4)
Starting from a cell relaxed with GGA-PBE, the powder X-ray diffraction pattern of Na2Nb4Se4O19 was calculated for Cu Kα X-rays.
Kinematic intensities with the Lorentz-polarization factor, no thermal factor.

Structural model:
Cell lengths 3.9284, 10.1692, 10.8901 Å; angles 74.22, 89.77, 81.66 degrees
Sites, in units of the cell vectors:
1 Na 0.2191 0.4408 0.1392
2 Na 0.7809 0.5592 0.8608
3 Nb 0.3328 0.3195 0.7027
4 Nb 0.4312 0.0539 0.3161
5 Nb 0.5688 0.9461 0.6839
6 Nb 0.6672 0.6805 0.2973
7 Se 0.2783 0.7832 0.9886
8 Se 0.3407 0.6799 0.5848
9 Se 0.6593 0.3201 0.4152
10 Se 0.7217 0.2168 0.0114
11 O 0.0442 0.9232 0.6951
12 O 0.1381 0.6680 0.2936
13 O 0.2419 0.6342 0.9552
14 O 0.2909 0.5316 0.7009
15 O 0.3480 0.3830 0.5084
16 O 0.3797 0.2634 0.3263
17 O 0.3853 0.2783 0.8916
18 O 0.4340 0.1417 0.1218
19 O 0.4574 0.1315 0.6986
20 O 0.5000 0.0000 0.5000
21 O 0.5426 0.8685 0.3014
22 O 0.5660 0.8583 0.8782
23 O 0.6147 0.7217 0.1084
24 O 0.6203 0.7366 0.6737
25 O 0.6520 0.6170 0.4916
26 O 0.7091 0.4684 0.2991
27 O 0.7581 0.3658 0.0448
28 O 0.8619 0.3320 0.7064
29 O 0.9558 0.0768 0.3049

The 10 most intense peaks (10° ≤ 2θ ≤ 80°), in order of falling intensity:
d [Å], I_rel
3.492, 100
3.352, 91
3.884, 90
4.938, 66
3.189, 66
3.058, 53
3.029, 43
3.225, 33
2.623, 32
3.145, 32

---

(5)
Starting from a cell relaxed with GGA-PBE, the powder X-ray diffraction pattern of Zn3SiS4 was calculated for Cu Kα X-rays.
Kinematic intensities with the Lorentz-polarization factor, no thermal factor.

Structural model:
Cell lengths 6.7938, 6.7938, 6.7938 Å; angles 131.56, 131.56, 70.93 degrees
Sites, in units of the cell vectors:
1 Zn 0.0000 0.0000 0.0000
2 Zn 0.2500 0.7500 0.5000
3 Zn 0.7500 0.2500 0.5000
4 Si 0.5000 0.5000 0.0000
5 S 0.1024 0.6348 0.0000
6 S 0.3652 0.3652 0.4676
7 S 0.6348 0.1024 0.0000
8 S 0.8976 0.8976 0.5324

The 10 most intense peaks (10° ≤ 2θ ≤ 80°), in order of falling intensity:
d [Å], I_rel
3.210, 100
1.964, 42
1.680, 27
1.971, 21
1.671, 13
1.274, 10
4.978, 10
1.394, 6
2.787, 6
1.278, 5

---

(6)
Starting from a cell relaxed with GGA-PBE, the powder X-ray diffraction pattern of BaCo2Sn8 was calculated for Cu Kα X-rays.
Kinematic intensities with the Lorentz-polarization factor, no thermal factor.

Structural model:
Cell lengths 9.2051, 9.2051, 14.0713 Å; angles 90.00, 90.00, 111.48 degrees
Sites, in units of the cell vectors:
1 Ba 0.1024 0.7933 0.0000
2 Ba 0.2067 0.8976 0.5000
3 Ba 0.7933 0.1024 0.5000
4 Ba 0.8976 0.2067 0.0000
5 Co 0.2791 0.5719 0.3300
6 Co 0.2791 0.5719 0.6700
7 Co 0.4281 0.7209 0.1700
8 Co 0.4281 0.7209 0.8300
9 Co 0.5719 0.2791 0.1700
10 Co 0.5719 0.2791 0.8300
11 Co 0.7209 0.4281 0.3300
12 Co 0.7209 0.4281 0.6700
13 Sn 0.0000 0.0000 0.2500
14 Sn 0.0000 0.0000 0.7500
15 Sn 0.0000 0.5000 0.3937
16 Sn 0.0000 0.5000 0.6063
17 Sn 0.1594 0.4638 0.1647
18 Sn 0.1594 0.4638 0.8353
19 Sn 0.1946 0.2784 0.3857
20 Sn 0.1946 0.2784 0.6143
21 Sn 0.2062 0.7938 0.2500
22 Sn 0.2062 0.7938 0.7500
23 Sn 0.2784 0.1946 0.1143
24 Sn 0.2784 0.1946 0.8857
25 Sn 0.3936 0.5881 0.5000
26 Sn 0.4119 0.6064 0.0000
27 Sn 0.4638 0.1594 0.3353
28 Sn 0.4638 0.1594 0.6647
29 Sn 0.5000 0.0000 0.1063
30 Sn 0.5000 0.0000 0.8937
31 Sn 0.5000 0.5000 0.2500
32 Sn 0.5000 0.5000 0.7500
33 Sn 0.5362 0.8406 0.3353
34 Sn 0.5362 0.8406 0.6647
35 Sn 0.5881 0.3936 0.0000
36 Sn 0.6064 0.4119 0.5000
37 Sn 0.7216 0.8054 0.1143
38 Sn 0.7216 0.8054 0.8857
39 Sn 0.7938 0.2062 0.2500
40 Sn 0.7938 0.2062 0.7500
41 Sn 0.8054 0.7216 0.3857
42 Sn 0.8054 0.7216 0.6143
43 Sn 0.8406 0.5362 0.1647
44 Sn 0.8406 0.5362 0.8353

The 10 most intense peaks (10° ≤ 2θ ≤ 80°), in order of falling intensity:
d [Å], I_rel
2.911, 100
2.858, 58
2.811, 43
1.996, 28
2.053, 26
2.591, 25
2.416, 19
2.784, 19
2.479, 16
8.566, 16